1.
Computed powder diffraction line list
Compound: LiTbS2O8
Radiation: Cu Ka
Structure: a structure optimized by DFT (GGA-PBE)

Principal peaks in the range 10° ≤ 2θ ≤ 80°, by angle:
Position (°2θ), d (Å), I/Imax, index
16.5, 5.366, 1000, 1 1 0
19.0, 4.683, 905, 1 0 1
22.3, 3.985, 451, 1 1 1
30.3, 2.948, 644, 2 1 1
38.7, 2.328, 362, 3 0 1
48.7, 1.868, 266, 3 1 2

Crystal structure
```
data_LiTbS2O8
_chemical_formula_sum 'Li2 Tb2 S4 O16'
_symmetry_space_group_name_H-M 'P -4 n 2'
_symmetry_Int_Tables_number 118
_cell_length_a 7.5893
_cell_length_b 7.5893
_cell_length_c 5.9507
_cell_angle_alpha 90.00
_cell_angle_beta 90.00
_cell_angle_gamma 90.00
loop_
_symmetry_equiv_pos_as_xyz
'x,y,z'
'y,-x,-z'
'-x,-y,z'
'-y,x,-z'
'-x+1/2,y+1/2,z+1/2'
'-y+1/2,-x+1/2,-z+1/2'
'x+1/2,-y+1/2,z+1/2'
'y+1/2,x+1/2,-z+1/2'
loop_
_atom_site_label
_atom_site_fract_x
_atom_site_fract_y
_atom_site_fract_z
Li1 0.0000 0.5000 0.2500
Tb1 0.0000 0.5000 0.7500
S1 0.2230 0.2770 0.2500
O1 0.0883 0.3155 0.0686
O2 0.0964 0.7916 0.6573
```

---

2.
Computed powder diffraction line list
Compound: Na2ZrSi6O19
Radiation: Cu Ka
Structure: a structure optimized by DFT (GGA-PBE)

Principal peaks in the range 10° ≤ 2θ ≤ 80°, by angle:
Position (°2θ), d (Å), I/Imax, index
11.7, 7.557, 324, 1 1 0
16.2, 5.470, 1000, 1 1 -1
16.4, 5.417, 387, 2 0 0
26.0, 3.422, 465, 3 1 0
27.0, 3.300, 386, 2 2 1
32.7, 2.735, 321, 2 2 -2

Crystal structure
```
data_Na2ZrSi6O19
_chemical_formula_sum 'Na4 Zr2 Si12 O38'
_symmetry_space_group_name_H-M 'C 1 2 1'
_symmetry_Int_Tables_number 5
_cell_length_a 10.8684
_cell_length_b 10.5456
_cell_length_c 7.5041
_cell_angle_alpha 90.00
_cell_angle_beta 94.54
_cell_angle_gamma 90.00
loop_
_symmetry_equiv_pos_as_xyz
'x,y,z'
'-x,y,-z'
'x+1/2,y+1/2,z'
'-x+1/2,y+1/2,-z'
loop_
_atom_site_label
_atom_site_fract_x
_atom_site_fract_y
_atom_site_fract_z
Na1 0.2481 0.0000 0.0018
Zr1 0.0000 0.2593 0.0000
Si1 0.0090 0.9884 0.7105
Si2 0.0175 0.5354 0.7152
Si3 0.2105 0.7627 0.7205
O1 0.0000 0.0277 0.5000
O2 0.0000 0.2727 0.5000
O3 0.0000 0.5178 0.5000
O4 0.0469 0.1111 0.8331
O5 0.0523 0.4043 0.8209
O6 0.1082 0.5778 0.1960
O7 0.1208 0.8850 0.7459
O8 0.1218 0.9341 0.2284
O9 0.1325 0.6336 0.7593
O10 0.1764 0.2717 0.1278
O11 0.2472 0.2566 0.4856
```

---

3.
Computed powder diffraction line list
Compound: NaSbS2
Radiation: Cu Ka
Structure: a structure optimized by DFT (GGA-PBE)

Principal peaks in the range 10° ≤ 2θ ≤ 80°, by angle:
Position (°2θ), d (Å), I/Imax, index
16.6, 5.352, 983, 0 0 1
17.6, 5.034, 829, 1 1 0
30.1, 2.970, 929, 2 0 -2
30.9, 2.897, 1000, 4 0 0
32.0, 2.794, 933, 0 2 0
45.1, 2.011, 664, 4 2 0

Crystal structure
```
data_NaSbS2
_chemical_formula_sum 'Na4 Sb4 S8'
_symmetry_space_group_name_H-M 'C 1 2/m 1'
_symmetry_Int_Tables_number 12
_cell_length_a 12.8688
_cell_length_b 5.5881
_cell_length_c 5.9423
_cell_angle_alpha 90.00
_cell_angle_beta 115.76
_cell_angle_gamma 90.00
loop_
_symmetry_equiv_pos_as_xyz
'x,y,z'
'-x,-y,-z'
'-x,y,-z'
'x,-y,z'
'x+1/2,y+1/2,z'
'-x+1/2,-y+1/2,-z'
'-x+1/2,y+1/2,-z'
'x+1/2,-y+1/2,z'
loop_
_atom_site_label
_atom_site_fract_x
_atom_site_fract_y
_atom_site_fract_z
Na1 0.1263 0.0000 0.3646
Sb1 0.1314 0.5000 0.9106
S1 0.1183 0.5000 0.3099
S2 0.1373 0.0000 0.8676
```